Entry 1:
Diffraction record for Pm3Dy8Tm4. The powder diffraction line list is simulated, not measured: it uses a cell relaxed with GGA-PBE and Cu Kα (λ = 1.5418 Å).
Intensities are scaled so that the largest is 100.

Principal peaks in the range 10 to 90 degrees two-theta, low angle first:
- d 3.181, 2θ = 28.05°, rel. 25
- d 2.901, 2θ = 30.82°, rel. 100
- d 2.790, 2θ = 32.09°, rel. 18
- d 2.307, 2θ = 39.04°, rel. 11
- d 2.144, 2θ = 42.15°, rel. 47
- d 1.395, 2θ = 67.11°, rel. 19

Cell and atoms:
```
Pm3Dy8Tm4
1.0
6.6936 -6.3627 0.0000
6.6936 6.3627 0.0000
-3.3521 0.0000 5.8087
Pm Dy Tm
3 8 4
Cartesian
0.0000 0.0000 0.0000
3.3468 3.1814 0.0000
3.3468 -3.1814 0.0000
5.0176 4.5466 2.9044
-0.0794 0.0000 5.4336
1.6985 0.0000 2.7561
6.6936 3.1886 0.0000
6.6936 -3.1886 0.0000
8.3367 0.0000 3.0526
10.1145 0.0000 0.3751
5.0176 -4.5466 2.9044
1.6708 3.1814 2.9044
1.6708 -3.1814 2.9044
6.6936 0.0000 0.0000
5.0176 0.0000 2.9044
```

Entry 2:
Diffraction record for PmDy2Tm6. The powder diffraction line list is simulated, not measured: it uses a cell relaxed with GGA-PBE and Cu Kα (λ = 1.5418 Å).
Intensities are scaled so that the largest is 100.

Principal peaks in the range 10 to 90 degrees two-theta, low angle first:
- d 2.872, 2θ = 31.14°, rel. 100
- d 2.487, 2θ = 36.11°, rel. 51
- d 1.759, 2θ = 52.00°, rel. 36
- d 1.502, 2θ = 61.78°, rel. 14
- d 1.499, 2θ = 61.90°, rel. 28
- d 1.436, 2θ = 64.94°, rel. 12

Cell and atoms:
```
PmDy2Tm6
1.0
10.5441 0.0000 0.0000
0.0000 10.5441 0.0000
0.0000 0.0000 4.9825
Pm Dy Tm
2 4 12
Cartesian
0.0000 0.0000 0.0000
5.2720 5.2720 2.4912
1.7679 1.7679 2.4912
3.5041 7.0400 0.0000
7.0400 3.5041 0.0000
8.7762 8.7762 2.4912
0.0054 3.5274 0.0000
1.7446 5.2774 2.4912
1.7686 8.7755 2.4912
3.5034 3.5034 0.0000
3.5274 0.0054 0.0000
5.2667 8.7995 2.4912
5.2774 1.7446 2.4912
7.0167 10.5387 0.0000
7.0406 7.0406 0.0000
8.7755 1.7686 2.4912
8.7995 5.2667 2.4912
10.5387 7.0167 0.0000
```

Entry 3:
Diffraction record for PmDy12Tm5. The powder diffraction line list is simulated, not measured: it uses a cell relaxed with GGA-PBE and Cu Kα (λ = 1.5418 Å).
Intensities are scaled so that the largest is 100.

Principal peaks in the range 10 to 90 degrees two-theta, low angle first:
- d 2.883, 2θ = 31.02°, rel. 100
- d 2.497, 2θ = 35.97°, rel. 51
- d 1.766, 2θ = 51.78°, rel. 36
- d 1.506, 2θ = 61.59°, rel. 36
- d 1.442, 2θ = 64.66°, rel. 12
- d 1.146, 2θ = 84.56°, rel. 12

Cell and atoms:
```
PmDy12Tm5
1.0
10.5897 0.0000 0.0000
0.0000 4.9918 0.0000
-0.0197 0.0000 10.6005
Pm Dy Tm
1 12 5
Cartesian
0.0000 0.0000 0.0000
-0.0071 0.0000 7.0565
1.7704 2.4959 1.7754
1.7693 2.4959 5.3068
3.5340 0.0000 3.5438
3.5202 0.0000 10.5947
5.2718 2.4959 8.8189
5.2981 2.4959 1.7816
7.0498 0.0000 0.0058
7.0359 0.0000 7.0567
8.8007 2.4959 5.2937
8.7995 2.4959 8.8251
10.5771 0.0000 3.5440
1.7622 2.4959 8.8202
3.5188 0.0000 7.0651
5.2850 2.4959 5.3002
7.0511 0.0000 3.5354
8.8077 2.4959 1.7803
```

Entry 4:
Diffraction record for Pm2DyTm7. The powder diffraction line list is simulated, not measured: it uses a cell relaxed with GGA-PBE and Cu Kα (λ = 1.5418 Å).
Intensities are scaled so that the largest is 100.

Principal peaks in the range 10 to 90 degrees two-theta, low angle first:
- d 3.221, 2θ = 27.70°, rel. 30
- d 2.825, 2θ = 31.68°, rel. 35
- d 2.814, 2θ = 31.80°, rel. 100
- d 2.727, 2θ = 32.84°, rel. 71
- d 2.716, 2θ = 32.98°, rel. 86
- d 2.471, 2θ = 36.36°, rel. 30

Cell and atoms:
```
Pm2DyTm7
1.0
5.4277 0.0000 0.0000
-0.0104 8.3261 0.0000
-2.7094 -4.1112 7.1871
Pm Dy Tm
2 1 7
Cartesian
-0.0006 -0.2392 3.2745
2.7084 4.4542 3.9126
0.0000 0.0000 0.0000
-0.0052 4.5182 1.9127
-0.0075 2.5305 5.1098
0.0034 -2.6727 5.5741
2.7086 4.1631 0.0000
2.7044 6.8876 1.6130
2.7154 1.6845 2.0773
2.7130 -0.3033 5.2744
```